# CrCoIr3
Computed XRD peak list, copper Kα. Input: DFT lattice parameters and positions (GGA-PBE).
Lines closer than 0.1° are merged.

The 10 most intense peaks (2θ = 10–90°), most intense first:
| 2θ (°) | I (rel.) | h k l |
| --- | --- | --- |
| 44.3 | 100 | -1 2 1 |
| 44.4 | 96 | 1 0 -3 |
| 42.5 | 73 | 0 2 -2 |
| 44.5 | 49 | 1 2 0 |
| 44.6 | 45 | 2 1 -2 |
| 38.7 | 44 | 1 1 1 |
| 85.4 | 29 | -3 3 1 |
| 38.9 | 27 | 2 0 -1 |
| 26.4 | 27 | 1 1 -1 |
| 86.7 | 22 | 2 1 3 |

Crystal structure
Cell: 4.6341 5.0306 6.3043 Å, 103.03 111.37 90.34°
Space group P-1 (No. 2)
Inequivalent atoms, fractional coordinates:
Cr 0.1870 0.4533 0.2019 x2
Co 0.3873 0.8514 0.6002 x2
Ir 0.0247 0.9511 0.2050 x2
Ir 0.2257 0.3557 0.5961 x2
Ir 0.4143 0.7448 0.9973 x2

# Nb6Pd12Pt
Computed XRD peak list, copper Kα. Input: DFT lattice parameters and positions (GGA-PBE).
Lines closer than 0.1° are merged.

The 10 most intense peaks (2θ = 10–90°), most intense first:
| 2θ (°) | I (rel.) | h k l |
| --- | --- | --- |
| 39.6 | 100 | 4 -3 1 |
| 41.8 | 44 | 3 1 2 |
| 41.9 | 41 | 2 1 4 |
| 39.8 | 33 | 0 1 5 |
| 44.0 | 19 | 4 -2 3 |
| 29.2 | 15 | 3 -1 1 |
| 74.8 | 14 | 7 -2 3 |
| 70.1 | 10 | 3 4 2 |
| 70.4 | 8 | 1 4 6 |
| 60.5 | 8 | 6 -2 2 |

Crystal structure
Cell: 9.6762 9.6762 11.7724 Å, 90.00 90.00 120.00°
Space group R-3 (No. 148, hexagonal axes)
Inequivalent atoms, fractional coordinates:
Nb 0.0250 0.5926 0.2099 x18
Pd 0.0408 0.8537 0.3131 x18
Pd 0.0619 0.2177 0.9144 x18
Pt 0.0000 0.0000 0.5000 x3

# Ce3NiPt2
Computed XRD peak list, copper Kα. Input: DFT lattice parameters and positions (GGA-PBE).
Lines closer than 0.1° are merged.

The 10 most intense peaks (2θ = 10–90°), most intense first:
| 2θ (°) | I (rel.) | h k l |
| --- | --- | --- |
| 32.1 | 100 | 0 1 3 |
| 35.4 | 83 | 3 1 2 |
| 30.9 | 81 | 2 1 2 |
| 38.5 | 70 | 4 1 1 |
| 44.5 | 68 | 0 2 0 |
| 33.0 | 61 | 1 1 3 |
| 34.2 | 58 | 4 0 2 |
| 45.8 | 52 | 3 0 5 |
| 39.1 | 44 | 1 1 4 |
| 41.4 | 43 | 2 1 4 |

Crystal structure
Cell: 11.7931 4.0751 11.4845 Å, 90.00 90.00 90.00°
Space group Pnma (No. 62)
Inequivalent atoms, fractional coordinates:
Ce 0.0538 0.2500 0.1313 x4
Ce 0.1212 0.7500 0.5628 x4
Ce 0.2231 0.2500 0.8142 x4
Ni 0.1253 0.2500 0.3840 x4
Pt 0.0003 0.2500 0.6950 x4
Pt 0.1745 0.7500 0.9968 x4

# AcLa2Au
Computed XRD peak list, copper Kα. Input: DFT lattice parameters and positions (GGA-PBE).
Lines closer than 0.1° are merged.

The 10 most intense peaks (2θ = 10–90°), most intense first:
| 2θ (°) | I (rel.) | h k l |
| --- | --- | --- |
| 30.0 | 100 | 1 1 2 |
| 28.9 | 61 | 2 2 0 |
| 31.9 | 49 | 2 2 1 |
| 38.3 | 46 | 3 0 1 |
| 51.5 | 39 | 1 5 2 |
| 50.5 | 37 | 0 6 0 |
| 33.3 | 34 | 1 2 2 |
| 30.4 | 33 | 1 3 1 |
| 33.1 | 31 | 0 4 0 |
| 28.4 | 28 | 2 1 1 |

Crystal structure
Cell: 7.5030 10.8372 6.7975 Å, 90.00 90.00 90.00°
Space group Pnma (No. 62)
Inequivalent atoms, fractional coordinates:
Ac 0.0237 0.2500 0.1408 x4
La 0.1874 0.0516 0.6650 x8
Au 0.1072 0.7500 0.4011 x4

# TmZnFeGe2
Computed XRD peak list, copper Kα. Input: DFT lattice parameters and positions (GGA-PBE).
Lines closer than 0.1° are merged.

The 10 most intense peaks (2θ = 10–90°), most intense first:
| 2θ (°) | I (rel.) | h k l |
| --- | --- | --- |
| 39.9 | 100 | 1 2 1 |
| 33.2 | 34 | 2 0 0 |
| 46.3 | 33 | 2 0 2 |
| 35.4 | 27 | 0 1 2 |
| 63.8 | 25 | 3 2 1 |
| 31.3 | 23 | 0 0 2 |
| 27.9 | 20 | 1 1 1 |
| 40.4 | 14 | 2 1 1 |
| 39.2 | 14 | 1 1 2 |
| 37.1 | 13 | 2 1 0 |

Crystal structure
Cell: 5.4005 5.5243 5.7099 Å, 90.00 90.00 90.00°
Space group Pmma (No. 51)
Inequivalent atoms, fractional coordinates:
Tm 0.2500 0.0000 0.2212 x2
Zn 0.2500 0.5000 0.3725 x2
Fe 0.0000 0.5000 0.0000 x2
Ge 0.2500 0.2365 0.7439 x4

# HoSeI
Computed XRD peak list, copper Kα. Input: DFT lattice parameters and positions (GGA-PBE).
Lines closer than 0.1° are merged.

The 10 most intense peaks (2θ = 10–90°), most intense first:
| 2θ (°) | I (rel.) | h k l |
| --- | --- | --- |
| 12.1 | 100 | 2 0 0 |
| 27.6 | 93 | 3 1 -1 |
| 26.1 | 38 | 0 0 2 |
| 35.2 | 33 | 5 1 -1 |
| 43.7 | 31 | 5 1 1 |
| 33.0 | 30 | 2 0 2 |
| 42.4 | 29 | 3 1 -3 |
| 33.9 | 18 | 3 1 1 |
| 42.7 | 18 | 0 2 0 |
| 55.0 | 14 | 2 2 2 |

Crystal structure
Cell: 15.9508 4.2378 7.4167 Å, 90.00 113.15 90.00°
Space group C2/m (No. 12)
Inequivalent atoms, fractional coordinates:
Ho 0.2453 0.0000 0.2769 x4
Se 0.1451 0.5000 0.3261 x4
I 0.1286 0.0000 0.8173 x4